The following is a simulated powder X-ray diffraction pattern of Ba2CaCuNi2F14. It was derived from a crystal structure in Alexandria, relaxed with PBE+U, using copper Kα.
Kinematic intensities with the Lorentz-polarization factor, no thermal factor.

Peak list (8 most intense, 2θ from 10° to 90°, low angle first)
| two_theta | I/Imax | index |
| --- | --- | --- |
| 23.87 | 28 | 0 0 4 |
| 25.48 | 100 | 1 1 0 |
| 26.82 | 26 | 0 1 -4 |
| 28.04 | 26 | 1 -2 2 |
| 29.53 | 21 | 1 0 -4 |
| 29.85 | 32 | 1 -1 4 |
| 33.21 | 25 | 2 -1 0 |
| 41.55 | 43 | 0 3 2 |

Crystal structure
a b c (Å): 5.395 7.384 14.920
angles (deg): 91.56 90.54 111.19
Positions (direct):
Ba (0.000, 0.000, 0.000)
Ba (0.103, 0.021, 0.486)
Ba (0.635, 0.212, 0.255)
Ba (0.746, 0.232, 0.739)
Ca (0.291, 0.621, 0.124)
Ca (0.453, 0.614, 0.616)
Cu (0.370, 0.616, 0.370)
Cu (0.371, 0.612, 0.870)
Ni (0.017, 0.860, 0.745)
Ni (0.722, 0.370, 0.995)
Ni (0.774, 0.397, 0.494)
Ni (0.967, 0.836, 0.246)
F (0.041, 0.365, 0.580)
F (0.072, 0.102, 0.295)
F (0.191, 0.780, 0.854)
F (0.211, 0.112, 0.774)
F (0.238, 0.929, 0.147)
F (0.266, 0.505, 0.757)
F (0.281, 0.858, 0.668)
F (0.288, 0.833, 0.323)
F (0.367, 0.735, 0.486)
F (0.373, 0.498, 0.254)
F (0.447, 0.371, 0.071)
F (0.453, 0.399, 0.417)
F (0.483, 0.721, 0.982)
F (0.505, 0.306, 0.594)
F (0.526, 0.111, 0.962)
F (0.558, 0.446, 0.886)
F (0.667, 0.130, 0.446)
F (0.701, 0.868, 0.160)
F (0.741, 0.769, 0.356)
F (0.767, 0.883, 0.825)
F (0.806, 0.610, 0.718)
F (0.823, 0.942, 0.648)
F (0.829, 0.659, 0.533)
F (0.904, 0.287, 0.091)
F (0.912, 0.573, 0.205)
F (0.947, 0.625, 0.020)
F (0.980, 0.340, 0.913)
F (0.999, 0.463, 0.383)